This entry pairs a crystal structure of MnGaAu6 with its simulated powder diffraction line list. Radiation: Cu Ka. Structure: DFT lattice parameters and positions (PBE).

Peak list (12 most intense, 10 to 90 degrees two-theta, sorted by position)
d 2.399, 37.50 deg, I = 100
d 2.359, 38.15 deg, I = 91
d 2.153, 41.97 deg, I = 32
d 2.094, 43.20 deg, I = 35
d 1.949, 46.59 deg, I = 27
d 1.501, 61.81 deg, I = 20
d 1.463, 63.61 deg, I = 11
d 1.427, 65.40 deg, I = 27
d 1.291, 73.30 deg, I = 11
d 1.260, 75.45 deg, I = 13
d 1.254, 75.85 deg, I = 14
d 1.200, 79.97 deg, I = 22

Atomic structure:
a = 5.130 Å, b = 5.130 Å, c = 7.799 Å
α = 111.06°, β = 111.06°, γ = 48.18°
Element x y z (fractional)
Mn (0.000, 0.000, 0.000)
Ga (0.000, 0.000, 0.500)
Au (0.224, 0.224, 0.365)
Au (0.257, 0.257, 0.879)
Au (0.489, 0.489, 0.259)
Au (0.511, 0.511, 0.741)
Au (0.743, 0.743, 0.121)
Au (0.776, 0.776, 0.635)

This entry pairs a crystal structure of MnGaAu5 with its simulated powder diffraction line list. Radiation: Cu Ka. Structure: DFT lattice parameters and positions (PBE).

Peak list (12 most intense, 10 to 90 degrees two-theta, sorted by position)
d 3.203, 27.86 deg, I = 35
d 2.773, 32.29 deg, I = 21
d 2.456, 36.59 deg, I = 31
d 2.334, 38.57 deg, I = 42
d 2.318, 38.85 deg, I = 100
d 2.299, 39.18 deg, I = 84
d 2.289, 39.36 deg, I = 45
d 2.247, 40.13 deg, I = 65
d 2.000, 45.35 deg, I = 33
d 1.972, 46.02 deg, I = 24
d 1.352, 69.53 deg, I = 27
d 1.345, 69.93 deg, I = 26

Atomic structure:
a = 4.782 Å, b = 4.782 Å, c = 11.636 Å
α = 90.00°, β = 90.00°, γ = 73.31°
Element x y z (fractional)
Mn (0.000, 0.000, 0.000)
Mn (0.000, 0.000, 0.500)
Ga (0.401, 0.599, 0.750)
Ga (0.599, 0.401, 0.250)
Au (0.035, 0.965, 0.250)
Au (0.155, 0.446, 0.108)
Au (0.155, 0.446, 0.392)
Au (0.446, 0.155, 0.608)
Au (0.446, 0.155, 0.892)
Au (0.554, 0.845, 0.108)
Au (0.554, 0.845, 0.392)
Au (0.845, 0.554, 0.608)
Au (0.845, 0.554, 0.892)
Au (0.965, 0.035, 0.750)

This entry pairs a crystal structure of MnGa2Au6 with its simulated powder diffraction line list. Radiation: Cu Ka. Structure: DFT lattice parameters and positions (PBE).

Peak list (12 most intense, 10 to 90 degrees two-theta, sorted by position)
d 3.809, 23.36 deg, I = 17
d 3.136, 28.46 deg, I = 32
d 2.549, 35.21 deg, I = 61
d 2.525, 35.56 deg, I = 21
d 2.418, 37.18 deg, I = 19
d 2.385, 37.72 deg, I = 53
d 2.308, 39.02 deg, I = 100
d 2.239, 40.29 deg, I = 57
d 2.033, 44.56 deg, I = 44
d 1.865, 48.83 deg, I = 19
d 1.469, 63.30 deg, I = 18
d 1.332, 70.71 deg, I = 17

Atomic structure:
a = 8.761 Å, b = 8.761 Å, c = 4.606 Å
α = 97.68°, β = 97.68°, γ = 65.97°
Element x y z (fractional)
Mn (0.138, 0.862, 0.750)
Mn (0.862, 0.138, 0.250)
Ga (0.185, 0.490, 0.911)
Ga (0.490, 0.185, 0.411)
Ga (0.510, 0.815, 0.589)
Ga (0.815, 0.510, 0.089)
Au (0.012, 0.787, 0.199)
Au (0.126, 0.343, 0.366)
Au (0.213, 0.988, 0.301)
Au (0.322, 0.547, 0.468)
Au (0.343, 0.126, 0.866)
Au (0.453, 0.678, 0.032)
Au (0.547, 0.322, 0.968)
Au (0.657, 0.874, 0.134)
Au (0.678, 0.453, 0.532)
Au (0.787, 0.012, 0.699)
Au (0.874, 0.657, 0.634)
Au (0.988, 0.213, 0.801)

This entry pairs a crystal structure of Ga40Mo8Au with its simulated powder diffraction line list. Radiation: Cu Ka. Structure: DFT lattice parameters and positions (PBE).

Peak list (12 most intense, 10 to 90 degrees two-theta, sorted by position)
d 4.070, 21.84 deg, I = 44
d 2.893, 30.91 deg, I = 57
d 2.628, 34.12 deg, I = 29
d 2.528, 35.51 deg, I = 33
d 2.358, 38.16 deg, I = 31
d 2.281, 39.50 deg, I = 34
d 2.262, 39.85 deg, I = 48
d 2.255, 39.99 deg, I = 66
d 2.170, 41.61 deg, I = 43
d 2.152, 41.97 deg, I = 46
d 2.057, 44.02 deg, I = 100
d 2.035, 44.53 deg, I = 74

Atomic structure:
a = 9.587 Å, b = 9.587 Å, c = 9.587 Å
α = 94.65°, β = 94.65°, γ = 94.65°
Element x y z (fractional)
Ga (0.000, 0.000, 0.000)
Ga (0.000, 0.000, 0.500)
Ga (0.000, 0.500, 0.000)
Ga (0.037, 0.173, 0.278)
Ga (0.050, 0.720, 0.427)
Ga (0.099, 0.468, 0.285)
Ga (0.111, 0.766, 0.135)
Ga (0.135, 0.111, 0.766)
Ga (0.173, 0.278, 0.037)
Ga (0.179, 0.625, 0.679)
Ga (0.234, 0.865, 0.889)
Ga (0.243, 0.375, 0.554)
Ga (0.278, 0.037, 0.173)
Ga (0.280, 0.573, 0.950)
Ga (0.285, 0.099, 0.468)
Ga (0.321, 0.821, 0.375)
Ga (0.375, 0.321, 0.821)
Ga (0.375, 0.554, 0.243)
Ga (0.427, 0.050, 0.720)
Ga (0.446, 0.757, 0.625)
Ga (0.468, 0.285, 0.099)
Ga (0.500, 0.000, 0.000)
Ga (0.532, 0.715, 0.901)
Ga (0.554, 0.243, 0.375)
Ga (0.573, 0.950, 0.280)
Ga (0.625, 0.446, 0.757)
Ga (0.625, 0.679, 0.179)
Ga (0.679, 0.179, 0.625)
Ga (0.715, 0.901, 0.532)
Ga (0.720, 0.427, 0.050)
Ga (0.722, 0.963, 0.827)
Ga (0.757, 0.625, 0.446)
Ga (0.766, 0.135, 0.111)
Ga (0.821, 0.375, 0.321)
Ga (0.827, 0.722, 0.963)
Ga (0.865, 0.889, 0.234)
Ga (0.889, 0.234, 0.865)
Ga (0.901, 0.532, 0.715)
Ga (0.950, 0.280, 0.573)
Ga (0.963, 0.827, 0.722)
Mo (0.114, 0.388, 0.791)
Mo (0.209, 0.886, 0.612)
Mo (0.298, 0.298, 0.298)
Mo (0.388, 0.791, 0.114)
Mo (0.612, 0.209, 0.886)
Mo (0.702, 0.702, 0.702)
Mo (0.791, 0.114, 0.388)
Mo (0.886, 0.612, 0.209)
Au (0.500, 0.500, 0.500)

This entry pairs a crystal structure of Ga2AuN with its simulated powder diffraction line list. Radiation: Cu Ka. Structure: DFT lattice parameters and positions (PBE).

Peak list (12 most intense, 10 to 90 degrees two-theta, sorted by position)
d 4.631, 19.17 deg, I = 45
d 2.832, 31.59 deg, I = 100
d 2.424, 37.10 deg, I = 68
d 2.408, 37.34 deg, I = 29
d 2.011, 45.08 deg, I = 25
d 1.845, 49.41 deg, I = 20
d 1.838, 49.60 deg, I = 12
d 1.640, 56.09 deg, I = 31
d 1.633, 56.36 deg, I = 32
d 1.357, 69.25 deg, I = 16
d 1.271, 74.66 deg, I = 12
d 1.126, 86.39 deg, I = 10

Atomic structure:
a = 5.664 Å, b = 5.664 Å, c = 5.664 Å
α = 119.71°, β = 119.71°, γ = 90.50°
Element x y z (fractional)
Ga (0.042, 0.625, 0.917)
Ga (0.375, 0.292, 0.417)
Ga (0.708, 0.125, 0.083)
Ga (0.875, 0.958, 0.583)
Au (0.250, 0.750, 0.500)
Au (0.500, 0.500, 0.000)
N (0.000, 0.000, 0.000)
N (0.750, 0.250, 0.500)

This entry pairs a crystal structure of ThGaAuN with its simulated powder diffraction line list. Radiation: Cu Ka. Structure: DFT lattice parameters and positions (PBE).

Peak list (12 most intense, 10 to 90 degrees two-theta, sorted by position)
d 3.044, 29.34 deg, I = 38
d 3.007, 29.71 deg, I = 100
d 2.862, 31.25 deg, I = 9
d 2.465, 36.45 deg, I = 15
d 2.348, 38.34 deg, I = 10
d 2.153, 41.97 deg, I = 34
d 1.750, 52.26 deg, I = 43
d 1.729, 52.96 deg, I = 20
d 1.522, 60.86 deg, I = 11
d 1.358, 69.18 deg, I = 9
d 1.149, 84.32 deg, I = 11
d 1.142, 84.87 deg, I = 11

Atomic structure:
a = 4.305 Å, b = 4.305 Å, c = 8.403 Å
α = 90.00°, β = 90.00°, γ = 90.00°
Element x y z (fractional)
Th (0.250, 0.250, 0.125)
Th (0.750, 0.750, 0.875)
Ga (0.250, 0.750, 0.500)
Ga (0.750, 0.250, 0.500)
Au (0.250, 0.250, 0.672)
Au (0.750, 0.750, 0.328)
N (0.250, 0.750, 0.000)
N (0.750, 0.250, 0.000)